The following is a theoretical PXRD pattern of Li12Ni11O28. It was derived from a crystal structure in Alexandria, relaxed with PBE+U, using Cu Kα, 1.54184 Å.
Peak positions follow from Bragg's law for the DFT cell and can differ from measured ones.

Cell and atoms:
a b c (Å): 5.9046 6.4229 12.9003
angles (deg): 84.19 83.80 73.65
Positions (direct):
Li: 0.0000 0.0000 0.0000
Li: 0.0093 0.3853 0.6261
Li: 0.0502 0.4579 0.3087
Li: 0.2042 0.2584 0.8671
Li: 0.2128 0.7869 0.3568
Li: 0.3502 0.1301 0.4317
Li: 0.4152 0.0649 0.2091
Li: 0.5654 0.9225 0.7812
Li: 0.6500 0.8333 0.5637
Li: 0.7410 0.1859 0.6440
Li: 0.7839 0.7215 0.1413
Li: 0.8564 0.6435 0.9359
Ni: 0.0595 0.9180 0.7835
Ni: 0.1327 0.8514 0.5711
Ni: 0.2786 0.7106 0.1400
Ni: 0.3473 0.6371 0.9285
Ni: 0.4176 0.5550 0.7147
Ni: 0.4922 0.4922 0.4982
Ni: 0.5667 0.4280 0.2838
Ni: 0.6378 0.3468 0.0700
Ni: 0.7045 0.2731 0.8567
Ni: 0.8521 0.1376 0.4279
Ni: 0.9274 0.0673 0.2137
O: 0.0177 0.7633 0.2360
O: 0.0486 0.1465 0.5302
O: 0.1010 0.6780 0.0328
O: 0.1026 0.1140 0.3200
O: 0.1612 0.6121 0.8234
O: 0.1904 0.0087 0.1184
O: 0.2405 0.5433 0.6035
O: 0.2639 0.9301 0.8830
O: 0.3214 0.4615 0.3878
O: 0.3237 0.8596 0.6811
O: 0.3843 0.4024 0.1781
O: 0.3990 0.7987 0.4755
O: 0.4514 0.3308 0.9627
O: 0.4818 0.7228 0.2388
O: 0.4959 0.2604 0.7597
O: 0.5398 0.6519 0.0342
O: 0.5836 0.1853 0.5213
O: 0.6017 0.5781 0.8217
O: 0.6626 0.5165 0.6097
O: 0.6659 0.1238 0.3180
O: 0.7257 0.0532 0.1142
O: 0.7468 0.4443 0.3936
O: 0.7961 0.9696 0.8790
O: 0.8220 0.3727 0.1776
O: 0.8781 0.3169 0.9612
O: 0.8830 0.8797 0.6777
O: 0.9385 0.8443 0.4697
O: 0.9706 0.2179 0.7609

Main lines, sorted by position (10° ≤ 2θ ≤ 90°):
- (1 1 0), 2θ = 18.2°, rel. 100
- (-1 1 4), 2θ = 37.4°, rel. 20
- (1 -2 1), 2θ = 37.8°, rel. 11
- (2 1 5), 2θ = 44.5°, rel. 38
- (0 3 -1), 2θ = 45.3°, rel. 18
- (2 -2 6), 2θ = 66.8°, rel. 10